Simulated powder X-ray diffraction pattern of AcDySi2 for Cu Kα X-rays, from a cell relaxed with PBE.
Kinematic intensities with the Lorentz-polarization factor, no thermal factor.

Top 12 peaks for 2θ = 10–90°, in order of rising 2θ:
2θ (°)  I_rel
18.27  23
21.78  23
28.82  100
30.24  31
30.57  36
31.76  27
33.62  21
38.67  17
43.54  19
45.05  20
48.15  17
53.24  23

Structure:
Cell: 8.7092 4.0235 11.6974 Å, 90.00 90.00 90.00°
Positions (direct):
1 Ac 0.1317 0.2500 0.1320
2 Ac 0.3683 0.7500 0.6320
3 Ac 0.6317 0.2500 0.3680
4 Ac 0.8683 0.7500 0.8680
5 Dy 0.0010 0.7500 0.3857
6 Dy 0.4990 0.2500 0.8857
7 Dy 0.5010 0.7500 0.1143
8 Dy 0.9990 0.2500 0.6143
9 Si 0.1694 0.2500 0.8254
10 Si 0.2410 0.2500 0.4348
11 Si 0.2590 0.7500 0.9348
12 Si 0.3306 0.7500 0.3254
13 Si 0.6694 0.2500 0.6746
14 Si 0.7410 0.2500 0.0652
15 Si 0.7590 0.7500 0.5652
16 Si 0.8306 0.7500 0.1746



Simulated powder X-ray diffraction pattern of Ac5DySi4 for Cu Kα X-rays, from a cell relaxed with PBE.
Kinematic intensities with the Lorentz-polarization factor, no thermal factor.

Top 12 peaks for 2θ = 10–90°, in order of rising 2θ:
2θ (°)  I_rel
23.57  37
24.24  100
28.34  47
28.76  37
29.74  78
32.68  17
37.96  32
39.91  20
44.89  30
47.77  18
49.67  20
50.85  29

Structure:
Cell: 10.5503 10.5503 10.5503 Å, 155.27 134.06 52.86°
Positions (direct):
1 Ac 0.0000 0.0000 0.0000
2 Ac 0.0882 0.3380 0.7502
3 Ac 0.4122 0.6620 0.7502
4 Ac 0.5878 0.3380 0.2498
5 Ac 0.9118 0.6620 0.2498
6 Dy 0.5000 0.0000 0.5000
7 Si 0.2696 0.5000 0.7696
8 Si 0.3063 0.8063 0.5000
9 Si 0.6937 0.1937 0.5000
10 Si 0.7304 0.5000 0.2304



Simulated powder X-ray diffraction pattern of AcDy2Si for Cu Kα X-rays, from a cell relaxed with PBE.
Kinematic intensities with the Lorentz-polarization factor, no thermal factor.

Top 12 peaks for 2θ = 10–90°, in order of rising 2θ:
2θ (°)  I_rel
24.78  53
26.49  100
26.93  43
32.82  30
34.58  78
38.52  37
46.50  39
52.77  16
53.40  41
55.42  19
59.22  17
71.34  19

Structure:
Cell: 11.0111 11.0111 11.0111 Å, 20.43 20.43 20.43°
Positions (direct):
1 Ac 0.0000 0.0000 0.0000
2 Dy 0.1158 0.1158 0.1158
3 Dy 0.8842 0.8842 0.8842
4 Si 0.5000 0.5000 0.5000



Simulated powder X-ray diffraction pattern of AcSm2Dy7 for Cu Kα X-rays, from a cell relaxed with PBE.
Kinematic intensities with the Lorentz-polarization factor, no thermal factor.

Top 12 peaks for 2θ = 10–90°, in order of rising 2θ:
2θ (°)  I_rel
10.88  13
31.13  100
33.05  20
37.36  16
37.74  15
50.72  12
51.01  13
54.15  11
57.83  15
63.53  13
64.05  13
64.92  12

Structure:
Cell: 9.7460 9.7460 9.7460 Å, 151.68 120.79 66.90°
Positions (direct):
1 Ac 0.0000 0.0000 0.0000
2 Sm 0.1813 0.6813 0.5000
3 Sm 0.8187 0.3187 0.5000
4 Dy 0.0775 0.8274 0.2501
5 Dy 0.3327 0.3327 0.0000
6 Dy 0.4228 0.1726 0.2501
7 Dy 0.5000 0.0000 0.5000
8 Dy 0.5772 0.8274 0.7499
9 Dy 0.6673 0.6673 0.0000
10 Dy 0.9225 0.1726 0.7499



Simulated powder X-ray diffraction pattern of AcSm4Dy4 for Cu Kα X-rays, from a cell relaxed with PBE.
Kinematic intensities with the Lorentz-polarization factor, no thermal factor.

Top 12 peaks for 2θ = 10–90°, in order of rising 2θ:
2θ (°)  I_rel
30.16  100
34.97  51
50.27  30
50.39  6
59.73  29
59.84  14
62.65  6
62.78  6
81.74  10
81.85  4
81.98  3
84.37  10

Structure:
Cell: 6.2839 7.2564 14.0659 Å, 82.64 89.92 73.09°
Positions (direct):
1 Ac 0.1121 0.4175 0.2221
2 Ac 0.8879 0.5825 0.7779
3 Sm 0.0013 0.2452 0.9997
4 Sm 0.2227 0.0816 0.4457
5 Sm 0.3329 0.7516 0.6649
6 Sm 0.3371 0.2475 0.6664
7 Sm 0.6629 0.7525 0.3336
8 Sm 0.6671 0.2484 0.3351
9 Sm 0.7773 0.9184 0.5543
10 Sm 0.9987 0.7548 0.0003
11 Dy 0.1132 0.9164 0.2222
12 Dy 0.2216 0.5844 0.4463
13 Dy 0.4399 0.9199 0.8898
14 Dy 0.4448 0.4130 0.8917
15 Dy 0.5552 0.5870 0.1083
16 Dy 0.5601 0.0801 0.1102
17 Dy 0.7784 0.4156 0.5537
18 Dy 0.8868 0.0836 0.7778



Simulated powder X-ray diffraction pattern of Ac7Sm3Dy for Cu Kα X-rays, from a cell relaxed with PBE.
Kinematic intensities with the Lorentz-polarization factor, no thermal factor.

Top 12 peaks for 2θ = 10–90°, in order of rising 2θ:
2θ (°)  I_rel
27.86  21
28.30  72
28.67  100
29.32  65
31.39  53
34.24  64
46.45  27
47.79  24
49.01  18
57.55  35
58.15  19
59.37  18

Structure:
Cell: 8.2900 8.2900 6.9120 Å, 95.00 95.00 84.53°
Positions (direct):
1 Ac 0.0000 0.0000 0.0000
2 Ac 0.0812 0.4232 0.2602
3 Ac 0.2629 0.2629 0.7723
4 Ac 0.4232 0.0812 0.2602
5 Ac 0.5768 0.9188 0.7398
6 Ac 0.7371 0.7371 0.2277
7 Ac 0.9188 0.5768 0.7398
8 Sm 0.3374 0.6626 0.0000
9 Sm 0.5000 0.5000 0.5000
10 Sm 0.6626 0.3374 0.0000
11 Dy 0.0000 0.0000 0.5000